Theoretical PXRD pattern
Compound: DyPuTe2N
Radiation: λ = 1.5418 Å (Cu Kα)
Structure: a structure optimized by DFT (PBE)

Peak list (10 most intense, 10° ≤ 2θ ≤ 90°, in order of rising 2θ)
| d [Å] | Position (°2θ) | intensity | h k l |
| --- | --- | --- | --- |
| 7.965 | 11.1 | 24 | 0 0 2 |
| 3.229 | 27.6 | 59 | 1 0 3 |
| 2.876 | 31.1 | 100 | 1 1 0 |
| 2.845 | 31.4 | 18 | 1 0 4 |
| 2.508 | 35.8 | 86 | 1 0 5 |
| 2.331 | 38.6 | 20 | 1 1 4 |
| 2.034 | 44.6 | 41 | 2 0 0 |
| 1.721 | 53.2 | 20 | 2 1 3 |
| 1.580 | 58.4 | 43 | 2 1 5 |
| 1.286 | 73.7 | 17 | 3 1 0 |

Atomic structure:
Cell lengths 4.067, 4.067, 15.930 Å; angles 90.00, 90.00, 90.00 degrees
Space group P4/nmm (No. 129, origin choice 2)
Asymmetric unit:
Dy1 0.250 0.250 0.138
Pu1 0.250 0.250 0.566
Te1 0.250 0.250 0.320
Te2 0.250 0.250 0.918
N1 0.250 0.750 0.500


Theoretical PXRD pattern
Compound: Cr2CuS4
Radiation: λ = 1.5418 Å (Cu Kα)
Structure: a structure optimized by DFT (PBE)

Peak list (10 most intense, 10° ≤ 2θ ≤ 90°, in order of rising 2θ)
| d [Å] | Position (°2θ) | intensity | h k l |
| --- | --- | --- | --- |
| 4.539 | 19.6 | 36 | 2 1 0 |
| 4.112 | 21.6 | 25 | 2 0 1 |
| 2.953 | 30.3 | 83 | 3 1 1 |
| 2.869 | 31.2 | 72 | 1 2 1 |
| 2.650 | 33.8 | 54 | 4 0 1 |
| 2.553 | 35.1 | 24 | 1 1 2 |
| 2.056 | 44.0 | 95 | 2 2 2 |
| 1.887 | 48.2 | 21 | 3 3 1 |
| 1.733 | 52.8 | 100 | 0 4 0 |
| 1.594 | 57.9 | 41 | 2 2 3 |

Atomic structure:
Cell lengths 12.006, 6.936, 5.642 Å; angles 90.00, 90.00, 90.00 degrees
Space group Pnma (No. 62)
Asymmetric unit:
Cr1 0.000 0.000 0.000
Cr2 0.241 0.250 0.488
Cu1 0.091 0.750 0.596
S1 0.082 0.250 0.242
S2 0.089 0.750 0.205
S3 0.170 0.008 0.769


Theoretical PXRD pattern
Compound: Sr2Sn3Pd5
Radiation: λ = 1.5418 Å (Cu Kα)
Structure: a structure optimized by DFT (PBE)

Peak list (10 most intense, 10° ≤ 2θ ≤ 90°, in order of rising 2θ)
| d [Å] | Position (°2θ) | intensity | h k l |
| --- | --- | --- | --- |
| 4.926 | 18.0 | 32 | 0 4 1 |
| 2.740 | 32.7 | 57 | 1 3 2 |
| 2.698 | 33.2 | 100 | 1 7 1 |
| 2.528 | 35.5 | 86 | 1 5 2 |
| 2.475 | 36.3 | 52 | 0 10 1 |
| 2.455 | 36.6 | 28 | 1 9 0 |
| 2.286 | 39.4 | 59 | 1 7 2 |
| 2.276 | 39.6 | 94 | 2 0 0 |
| 2.117 | 42.7 | 78 | 1 3 3 |
| 1.675 | 54.8 | 33 | 2 10 1 |

Atomic structure:
Cell lengths 4.552, 26.242, 7.459 Å; angles 90.00, 90.00, 90.00 degrees
Space group Cmc2_1 (No. 36)
Asymmetric unit:
Sr1 0.000 0.028 0.000
Sr2 0.000 0.326 0.127
Sn1 0.000 0.128 0.241
Sn2 0.000 0.276 0.669
Sn3 0.000 0.453 0.198
Pd1 0.000 0.088 0.574
Pd2 0.000 0.206 0.959
Pd3 0.000 0.225 0.362
Pd4 0.000 0.374 0.525
Pd5 0.000 0.444 0.826